[1]
Starting from a DFT-relaxed cell (GGA-PBE, Alexandria), the PXRD pattern of SrCo2Br6 was simulated for Cu Kα (weighted mean of Kα1 and Kα2).

```
data_SrCo2Br6
_chemical_formula_sum 'Sr4 Co8 Br24'
_cell_length_a 13.9458
_cell_length_b 12.8980
_cell_length_c 7.2173
_cell_angle_alpha 90.00
_cell_angle_beta 103.67
_cell_angle_gamma 90.00
_space_group_name_H-M_alt 'C 1 2/c 1'
_space_group_IT_number 15
_space_group_name_Hall '-C 2yc'
loop_
_atom_site_label
_atom_site_type_symbol
_atom_site_fract_x
_atom_site_fract_y
_atom_site_fract_z
Sr1 Sr 0.0000 0.1249 0.2500
Co1 Co 0.2008 0.4271 0.2729
Br1 Br 0.1195 0.0736 0.6572
Br2 Br 0.1375 0.2706 0.1157
Br3 Br 0.1423 0.4313 0.5618
```

Top 6 peaks for 2θ = 15–90°, by angle:
| 2theta | I/Imax |
| --- | --- |
| 20.8 | 53 |
| 25.7 | 61 |
| 26.0 | 100 |
| 26.3 | 38 |
| 29.4 | 69 |
| 43.9 | 74 |


[2]
Starting from a DFT-relaxed cell (GGA-PBE, Alexandria), the PXRD pattern of Ho2Cd3Au3 was simulated for Cu Kα (weighted mean of Kα1 and Kα2).

```
data_Ho2Cd3Au3
_chemical_formula_sum 'Ho6 Cd9 Au9'
_cell_length_a 4.9611
_cell_length_b 4.9611
_cell_length_c 24.1849
_cell_angle_alpha 90.00
_cell_angle_beta 90.00
_cell_angle_gamma 120.00
_space_group_name_H-M_alt 'R 3 m'
_space_group_IT_number 160
_space_group_name_Hall 'R 3 -2"'
loop_
_atom_site_label
_atom_site_type_symbol
_atom_site_fract_x
_atom_site_fract_y
_atom_site_fract_z
Ho1 Ho 0.0000 0.0000 0.0000
Ho2 Ho 0.0000 0.0000 0.4891
Cd1 Cd 0.0000 0.0000 0.2467
Cd2 Cd 0.0000 0.0000 0.7430
Cd3 Cd 0.0000 0.0000 0.8712
Au1 Au 0.0000 0.0000 0.1246
Au2 Au 0.0000 0.0000 0.3672
Au3 Au 0.0000 0.0000 0.6155
```

Top 6 peaks for 2θ = 15–90°, by angle:
| 2theta | I/Imax |
| --- | --- |
| 36.2 | 100 |
| 36.3 | 95 |
| 52.2 | 34 |
| 65.2 | 52 |
| 65.5 | 15 |
| 88.1 | 16 |


[3]
Starting from a DFT-relaxed cell (GGA-PBE, Alexandria), the PXRD pattern of CaIn4Rh4 was simulated for Cu Kα (weighted mean of Kα1 and Kα2).

```
data_CaIn4Rh4
_chemical_formula_sum 'Ca2 In8 Rh8'
_cell_length_a 6.1981
_cell_length_b 6.1981
_cell_length_c 9.5112
_cell_angle_alpha 90.00
_cell_angle_beta 90.00
_cell_angle_gamma 90.00
_space_group_name_H-M_alt 'P 42/n m c'
_space_group_IT_number 137
loop_
_space_group_symop_operation_xyz
'x,y,z'
'-x,-y,-z'
'-y+1/2,x,z+1/2'
'y+1/2,-x,-z+1/2'
'-x+1/2,-y+1/2,z'
'x+1/2,y+1/2,-z'
'y,-x+1/2,z+1/2'
'-y,x+1/2,-z+1/2'
'x+1/2,-y,-z'
'-x+1/2,y,z'
'-y,-x,-z+1/2'
'y,x,z+1/2'
'-x,y+1/2,-z'
'x,-y+1/2,z'
'y+1/2,x+1/2,-z+1/2'
'-y+1/2,-x+1/2,z+1/2'
loop_
_atom_site_label
_atom_site_type_symbol
_atom_site_fract_x
_atom_site_fract_y
_atom_site_fract_z
Ca1 Ca 0.2500 0.7500 0.2500
In1 In 0.0197 0.2500 0.0479
Rh1 Rh 0.0359 0.2500 0.3361
```

Top 6 peaks for 2θ = 15–90°, by angle:
| 2theta | I/Imax |
| --- | --- |
| 17.1 | 34 |
| 33.7 | 52 |
| 40.7 | 100 |
| 41.2 | 44 |
| 67.2 | 20 |
| 74.7 | 22 |